Entry 1:
This entry pairs a crystal structure of Hf3Sc2Ni4 with its theoretical powder diffraction line list. Radiation: CuKα. Structure: a PBE-relaxed structure.

Crystal structure
a = 7.809 Å, b = 6.544 Å, c = 6.515 Å
α = 90.00°, β = 109.68°, γ = 90.00°
Positions (direct):
Hf 0.000 0.000 0.000
Hf 0.000 0.500 0.500
Hf 0.266 0.174 0.778
Hf 0.266 0.326 0.278
Hf 0.734 0.674 0.722
Hf 0.734 0.826 0.222
Sc 0.311 0.682 0.937
Sc 0.311 0.818 0.437
Sc 0.689 0.182 0.563
Sc 0.689 0.318 0.063
Ni 0.001 0.628 0.128
Ni 0.001 0.872 0.628
Ni 0.434 0.032 0.161
Ni 0.434 0.468 0.661
Ni 0.566 0.532 0.339
Ni 0.566 0.968 0.839
Ni 0.999 0.128 0.372
Ni 0.999 0.372 0.872

Main lines, low angle first (10 to 80 degrees two-theta):
d (Å)	I (rel.)	index
4.888	100.0	1 1 0
4.476	41.7	0 1 1
2.882	49.4	2 0 -2
2.469	73.8	2 2 -1
2.444	72.6	2 2 0
2.370	61.6	1 1 2
2.057	71.5	1 1 -3
2.040	63.3	1 3 -1

***

Entry 2:
This entry pairs a crystal structure of HfSO6 with its theoretical powder diffraction line list. Radiation: CuKα. Structure: a PBE-relaxed structure.

Crystal structure
a = 11.452 Å, b = 5.646 Å, c = 6.875 Å
α = 90.00°, β = 90.00°, γ = 90.00°
Positions (direct):
Hf 0.069 0.250 0.165
Hf 0.431 0.750 0.665
Hf 0.569 0.250 0.335
Hf 0.931 0.750 0.835
S 0.145 0.750 0.456
S 0.355 0.250 0.956
S 0.645 0.750 0.044
S 0.855 0.250 0.544
O 0.041 0.750 0.581
O 0.054 0.000 0.935
O 0.054 0.500 0.935
O 0.146 0.536 0.332
O 0.146 0.964 0.332
O 0.249 0.250 0.078
O 0.251 0.750 0.578
O 0.354 0.036 0.832
O 0.354 0.464 0.832
O 0.446 0.000 0.435
O 0.446 0.500 0.435
O 0.459 0.250 0.081
O 0.541 0.750 0.919
O 0.554 0.000 0.565
O 0.554 0.500 0.565
O 0.646 0.536 0.168
O 0.646 0.964 0.168
O 0.749 0.250 0.422
O 0.751 0.750 0.922
O 0.854 0.036 0.668
O 0.854 0.464 0.668
O 0.946 0.000 0.065
O 0.946 0.500 0.065
O 0.959 0.250 0.419

Main lines, low angle first (10 to 80 degrees two-theta):
d (Å)	I (rel.)	index
5.895	36.0	1 0 1
5.726	59.4	2 0 0
4.400	90.6	2 0 1
4.363	100.0	0 1 1
4.077	58.0	1 1 1
3.471	50.3	2 1 1
2.844	58.2	1 1 2
2.554	47.6	4 1 0